This entry pairs a crystal structure of K4Sb2P3 with its calculated X-ray diffraction stick pattern. Radiation: Cu Kα (λ = 1.5418 Å). Structure: a GGA-PBE-relaxed structure.
Kinematic intensities with the Lorentz-polarization factor, no thermal factor.

Largest 6 diffraction maxima, low angle first, 10° ≤ 2θ ≤ 90°:
- 2θ 15.27, rel. 57, (0 2 1)
- 2θ 17.78, rel. 83, (1 1 1)
- 2θ 27.26, rel. 51, (1 3 1)
- 2θ 30.70, rel. 100, (1 3 3)
- 2θ 31.21, rel. 43, (2 0 0)
- 2θ 34.41, rel. 39, (1 1 6)

Crystal structure
```
data_K4Sb2P3
_cell_length_a 5.731
_cell_length_b 12.251
_cell_length_c 18.083
_cell_angle_alpha 90.00
_cell_angle_beta 90.00
_cell_angle_gamma 90.00
_space_group_name_H-M_alt 'C m c 21'
_space_group_IT_number 36
loop_
_space_group_symop_operation_xyz
'x,y,z'
'-x,-y,z+1/2'
'-x,y,z'
'x,-y,z+1/2'
'x+1/2,y+1/2,z'
'-x+1/2,-y+1/2,z+1/2'
'-x+1/2,y+1/2,z'
'x+1/2,-y+1/2,z+1/2'
loop_
_atom_site_label
_atom_site_fract_x
_atom_site_fract_y
_atom_site_fract_z
K1 0.000 0.071 0.000
K2 0.000 0.115 0.338
K3 0.000 0.187 0.784
K4 0.000 0.420 0.087
Sb1 0.000 0.266 0.517
Sb2 0.000 0.408 0.394
P1 0.000 0.019 0.170
P2 0.191 0.175 0.157
```